[1]
For ErMnSn2, a GGA-PBE-relaxed structure gives the computed powder diffraction line list in this record (Cu Kα (λ = 1.5418 Å)).
No peak broadening, texture or thermal motion is included.

Principal peaks in the range 2θ from 10° to 80°, sorted by position:
Position (°2θ)	I/Imax
32.7	46
33.7	72
35.2	49
35.5	100
37.5	33
40.2	25
59.7	23
68.8	21

Atomic structure:
```
data_ErMnSn2
_chemical_formula_sum 'Er12 Mn12 Sn24'
_space_group_name_H-M_alt 'P 1'
_space_group_IT_number 1
_space_group_name_Hall 'P 1'
_cell_length_a 10.3640
_cell_length_b 11.3671
_cell_length_c 8.9793
_cell_angle_alpha 90.00
_cell_angle_beta 90.00
_cell_angle_gamma 90.00
loop_
_atom_site_label
_atom_site_type_symbol
_atom_site_fract_x
_atom_site_fract_y
_atom_site_fract_z
Er1 Er 0.1652 0.1789 0.0000
Er2 Er 0.1718 0.4521 0.2412
Er3 Er 0.1718 0.4521 0.7588
Er4 Er 0.3282 0.9521 0.2412
Er5 Er 0.3282 0.9521 0.7588
Er6 Er 0.3348 0.6789 0.0000
Er7 Er 0.6652 0.3211 0.0000
Er8 Er 0.6718 0.0479 0.2412
Er9 Er 0.6718 0.0479 0.7588
Er10 Er 0.8282 0.5479 0.2412
Er11 Er 0.8282 0.5479 0.7588
Er12 Er 0.8348 0.8211 0.0000
Mn1 Mn 0.0000 0.0000 0.2438
Mn2 Mn 0.0000 0.0000 0.7562
Mn3 Mn 0.0888 0.7509 0.2490
Mn4 Mn 0.0888 0.7509 0.7510
Mn5 Mn 0.4112 0.2509 0.2490
Mn6 Mn 0.4112 0.2509 0.7510
Mn7 Mn 0.5000 0.5000 0.2438
Mn8 Mn 0.5000 0.5000 0.7562
Mn9 Mn 0.5888 0.7491 0.2490
Mn10 Mn 0.5888 0.7491 0.7510
Mn11 Mn 0.9112 0.2491 0.2490
Mn12 Mn 0.9112 0.2491 0.7510
Sn1 Sn 0.0406 0.6225 0.0000
Sn2 Sn 0.0425 0.6235 0.5000
Sn3 Sn 0.1268 0.9053 0.5000
Sn4 Sn 0.1283 0.8974 0.0000
Sn5 Sn 0.1617 0.1808 0.3377
Sn6 Sn 0.1617 0.1808 0.6623
Sn7 Sn 0.3383 0.6808 0.3377
Sn8 Sn 0.3383 0.6808 0.6623
Sn9 Sn 0.3717 0.3974 0.0000
Sn10 Sn 0.3732 0.4053 0.5000
Sn11 Sn 0.4575 0.1235 0.5000
Sn12 Sn 0.4594 0.1225 0.0000
Sn13 Sn 0.5406 0.8775 0.0000
Sn14 Sn 0.5425 0.8765 0.5000
Sn15 Sn 0.6268 0.5947 0.5000
Sn16 Sn 0.6283 0.6026 0.0000
Sn17 Sn 0.6617 0.3192 0.3377
Sn18 Sn 0.6617 0.3192 0.6623
Sn19 Sn 0.8383 0.8192 0.3377
Sn20 Sn 0.8383 0.8192 0.6623
Sn21 Sn 0.8717 0.1026 0.0000
Sn22 Sn 0.8732 0.0947 0.5000
Sn23 Sn 0.9575 0.3765 0.5000
Sn24 Sn 0.9594 0.3775 0.0000
```

=====

[2]
For TaTe2Cl6, a GGA-PBE-relaxed structure gives the computed powder diffraction line list in this record (Cu Kα (λ = 1.5418 Å)).
No peak broadening, texture or thermal motion is included.

Principal peaks in the range 2θ from 10° to 80°, sorted by position:
Position (°2θ)	I/Imax
15.2	48
16.3	100
16.5	28
18.0	55
23.7	29
31.3	28
41.7	31
49.5	24

Atomic structure:
```
data_TaTe2Cl6
_chemical_formula_sum 'Ta2 Te4 Cl12'
_space_group_name_H-M_alt 'P 1'
_space_group_IT_number 1
_space_group_name_Hall 'P 1'
_cell_length_a 7.1619
_cell_length_b 7.6687
_cell_length_c 11.8390
_cell_angle_alpha 78.99
_cell_angle_beta 75.83
_cell_angle_gamma 83.69
loop_
_atom_site_label
_atom_site_type_symbol
_atom_site_fract_x
_atom_site_fract_y
_atom_site_fract_z
Ta1 Ta 0.2047 0.1700 0.2027
Ta2 Ta 0.7953 0.8300 0.7973
Te1 Te 0.2705 0.6567 0.4954
Te2 Te 0.3921 0.4064 0.6627
Te3 Te 0.6079 0.5936 0.3373
Te4 Te 0.7295 0.3433 0.5046
Cl1 Cl 0.0529 0.4598 0.2370
Cl2 Cl 0.1012 0.9471 0.7145
Cl3 Cl 0.1438 0.2111 0.0151
Cl4 Cl 0.2635 0.1279 0.3974
Cl5 Cl 0.3454 0.8776 0.1869
Cl6 Cl 0.4994 0.2994 0.1269
Cl7 Cl 0.5006 0.7006 0.8731
Cl8 Cl 0.6546 0.1224 0.8131
Cl9 Cl 0.7365 0.8721 0.6026
Cl10 Cl 0.8562 0.7889 0.9849
Cl11 Cl 0.8988 0.0529 0.2855
Cl12 Cl 0.9471 0.5402 0.7630
```

=====

[3]
For Ti6Al16Os7, a GGA-PBE-relaxed structure gives the computed powder diffraction line list in this record (Cu Kα (λ = 1.5418 Å)).
No peak broadening, texture or thermal motion is included.

Principal peaks in the range 2θ from 10° to 80°, sorted by position:
Position (°2θ)	I/Imax
25.3	75
29.3	53
41.9	100
49.6	46
52.0	15
66.9	18
68.9	21
76.6	27

Atomic structure:
```
data_Ti6Al16Os7
_chemical_formula_sum 'Ti6 Al16 Os7'
_space_group_name_H-M_alt 'P 1'
_space_group_IT_number 1
_space_group_name_Hall 'P 1'
_cell_length_a 8.6178
_cell_length_b 8.6178
_cell_length_c 8.6178
_cell_angle_alpha 60.00
_cell_angle_beta 60.00
_cell_angle_gamma 60.00
loop_
_atom_site_label
_atom_site_type_symbol
_atom_site_fract_x
_atom_site_fract_y
_atom_site_fract_z
Ti1 Ti 0.2199 0.2199 0.7801
Ti2 Ti 0.2199 0.7801 0.2199
Ti3 Ti 0.2199 0.7801 0.7801
Ti4 Ti 0.7801 0.2199 0.2199
Ti5 Ti 0.7801 0.2199 0.7801
Ti6 Ti 0.7801 0.7801 0.2199
Al1 Al 0.1363 0.6212 0.6212
Al2 Al 0.1553 0.1553 0.1553
Al3 Al 0.1553 0.1553 0.5340
Al4 Al 0.1553 0.5340 0.1553
Al5 Al 0.3788 0.3788 0.3788
Al6 Al 0.3788 0.3788 0.8637
Al7 Al 0.3788 0.8637 0.3788
Al8 Al 0.4660 0.8447 0.8447
Al9 Al 0.5340 0.1553 0.1553
Al10 Al 0.6212 0.1363 0.6212
Al11 Al 0.6212 0.6212 0.1363
Al12 Al 0.6212 0.6212 0.6212
Al13 Al 0.8447 0.4660 0.8447
Al14 Al 0.8447 0.8447 0.4660
Al15 Al 0.8447 0.8447 0.8447
Al16 Al 0.8637 0.3788 0.3788
Os1 Os 0.0000 0.0000 0.5000
Os2 Os 0.0000 0.5000 0.0000
Os3 Os 0.0000 0.5000 0.5000
Os4 Os 0.5000 0.0000 0.0000
Os5 Os 0.5000 0.0000 0.5000
Os6 Os 0.5000 0.5000 0.0000
Os7 Os 0.5000 0.5000 0.5000
```

=====

[4]
For Sr2ScSbO6, a GGA-PBE-relaxed structure gives the computed powder diffraction line list in this record (Cu Kα (λ = 1.5418 Å)).
No peak broadening, texture or thermal motion is included.

Principal peaks in the range 2θ from 10° to 80°, sorted by position:
Position (°2θ)	I/Imax
18.9	30
31.0	99
31.1	100
44.5	46
44.6	22
55.2	36
55.3	46
64.8	32

Atomic structure:
```
data_Sr2ScSbO6
_chemical_formula_sum 'Sr4 Sc2 Sb2 O12'
_space_group_name_H-M_alt 'P 1'
_space_group_IT_number 1
_space_group_name_Hall 'P 1'
_cell_length_a 5.7720
_cell_length_b 5.7515
_cell_length_c 9.9636
_cell_angle_alpha 90.00
_cell_angle_beta 125.33
_cell_angle_gamma 90.00
loop_
_atom_site_label
_atom_site_type_symbol
_atom_site_fract_x
_atom_site_fract_y
_atom_site_fract_z
Sr1 Sr 0.2462 0.0106 0.2490
Sr2 Sr 0.2462 0.4894 0.7490
Sr3 Sr 0.7538 0.5106 0.2510
Sr4 Sr 0.7538 0.9894 0.7510
Sc1 Sc 0.5000 0.0000 0.0000
Sc2 Sc 0.5000 0.5000 0.5000
Sb1 Sb 0.0000 0.0000 0.5000
Sb2 Sb 0.0000 0.5000 0.0000
O1 O 0.1994 0.2374 0.9733
O2 O 0.1994 0.2626 0.4733
O3 O 0.2320 0.7272 0.9716
O4 O 0.2320 0.7728 0.4716
O5 O 0.2969 0.0050 0.7439
O6 O 0.2969 0.4950 0.2439
O7 O 0.7031 0.5050 0.7561
O8 O 0.7031 0.9950 0.2561
O9 O 0.7680 0.2272 0.5284
O10 O 0.7680 0.2728 0.0284
O11 O 0.8006 0.7374 0.5267
O12 O 0.8006 0.7626 0.0267
```

=====

[5]
For Cs11O3, a GGA-PBE-relaxed structure gives the computed powder diffraction line list in this record (Cu Kα (λ = 1.5418 Å)).
No peak broadening, texture or thermal motion is included.

Principal peaks in the range 2θ from 10° to 80°, sorted by position:
Position (°2θ)	I/Imax
10.7	78
21.6	43
22.1	100
22.4	81
22.8	64
24.1	29
27.6	32
32.4	43

Atomic structure:
```
data_Cs11O3
_chemical_formula_sum 'Cs44 O12'
_space_group_name_H-M_alt 'P 1'
_space_group_IT_number 1
_space_group_name_Hall 'P 1'
_cell_length_a 17.8271
_cell_length_b 9.3498
_cell_length_c 24.3332
_cell_angle_alpha 90.00
_cell_angle_beta 100.20
_cell_angle_gamma 90.00
loop_
_atom_site_label
_atom_site_type_symbol
_atom_site_fract_x
_atom_site_fract_y
_atom_site_fract_z
Cs1 Cs 0.0258 0.1673 0.4015
Cs2 Cs 0.0258 0.3327 0.9015
Cs3 Cs 0.0642 0.0703 0.1178
Cs4 Cs 0.0642 0.4297 0.6178
Cs5 Cs 0.1200 0.7202 0.7566
Cs6 Cs 0.1200 0.7798 0.2566
Cs7 Cs 0.1841 0.7368 0.5311
Cs8 Cs 0.1841 0.7632 0.0311
Cs9 Cs 0.1968 0.5193 0.1591
Cs10 Cs 0.1968 0.9807 0.6591
Cs11 Cs 0.2611 0.0809 0.8310
Cs12 Cs 0.2611 0.4191 0.3310
Cs13 Cs 0.2799 0.6142 0.6769
Cs14 Cs 0.2799 0.8858 0.1769
Cs15 Cs 0.3384 0.1047 0.5460
Cs16 Cs 0.3384 0.3953 0.0460
Cs17 Cs 0.3487 0.6707 0.8491
Cs18 Cs 0.3487 0.8293 0.3491
Cs19 Cs 0.4086 0.5575 0.2168
Cs20 Cs 0.4086 0.9425 0.7168
Cs21 Cs 0.4341 0.6969 0.5682
Cs22 Cs 0.4341 0.8031 0.0682
Cs23 Cs 0.5659 0.1969 0.9318
Cs24 Cs 0.5659 0.3031 0.4318
Cs25 Cs 0.5914 0.0575 0.2832
Cs26 Cs 0.5914 0.4425 0.7832
Cs27 Cs 0.6513 0.1707 0.6509
Cs28 Cs 0.6513 0.3293 0.1509
Cs29 Cs 0.6616 0.6047 0.9540
Cs30 Cs 0.6616 0.8953 0.4540
Cs31 Cs 0.7201 0.1142 0.8231
Cs32 Cs 0.7201 0.3858 0.3231
Cs33 Cs 0.7389 0.5809 0.6690
Cs34 Cs 0.7389 0.9191 0.1690
Cs35 Cs 0.8032 0.0193 0.3409
Cs36 Cs 0.8032 0.4807 0.8409
Cs37 Cs 0.8159 0.2368 0.9689
Cs38 Cs 0.8159 0.2632 0.4689
Cs39 Cs 0.8800 0.2202 0.7434
Cs40 Cs 0.8800 0.2798 0.2434
Cs41 Cs 0.9358 0.5703 0.3822
Cs42 Cs 0.9358 0.9297 0.8822
Cs43 Cs 0.9742 0.6673 0.0985
Cs44 Cs 0.9742 0.8327 0.5985
O1 O 0.1167 0.7047 0.6346
O2 O 0.1167 0.7953 0.1346
O3 O 0.2764 0.6584 0.2642
O4 O 0.2764 0.8416 0.7642
O5 O 0.3204 0.6453 0.1049
O6 O 0.3204 0.8547 0.6049
O7 O 0.6796 0.1453 0.3951
O8 O 0.6796 0.3547 0.8951
O9 O 0.7236 0.1584 0.2358
O10 O 0.7236 0.3416 0.7358
O11 O 0.8833 0.2047 0.8654
O12 O 0.8833 0.2953 0.3654
```

=====

[6]
For ZnH4I2O8, a GGA-PBE-relaxed structure gives the computed powder diffraction line list in this record (Cu Kα (λ = 1.5418 Å)).
No peak broadening, texture or thermal motion is included.

Principal peaks in the range 2θ from 10° to 80°, sorted by position:
Position (°2θ)	I/Imax
16.3	78
22.6	83
23.1	55
24.9	50
26.5	100
28.5	75
29.1	50
33.7	43

Atomic structure:
```
data_ZnH4I2O8
_chemical_formula_sum 'Zn2 H8 I4 O16'
_space_group_name_H-M_alt 'P 1'
_space_group_IT_number 1
_space_group_name_Hall 'P 1'
_cell_length_a 4.9901
_cell_length_b 6.7560
_cell_length_c 10.9895
_cell_angle_alpha 99.10
_cell_angle_beta 91.50
_cell_angle_gamma 91.30
loop_
_atom_site_label
_atom_site_type_symbol
_atom_site_fract_x
_atom_site_fract_y
_atom_site_fract_z
Zn1 Zn 0.0000 0.0000 0.0000
Zn2 Zn 0.0000 0.0000 0.5000
H1 H 0.2128 0.3619 0.0070
H2 H 0.2907 0.3481 0.5519
H3 H 0.4408 0.2229 0.0436
H4 H 0.4478 0.2045 0.4475
H5 H 0.5522 0.7955 0.5525
H6 H 0.5592 0.7771 0.9564
H7 H 0.7093 0.6519 0.4481
H8 H 0.7872 0.6381 0.9930
I1 I 0.1100 0.7113 0.7292
I2 I 0.3572 0.7712 0.2286
I3 I 0.6428 0.2288 0.7714
I4 I 0.8900 0.2887 0.2708
O1 O 0.1518 0.5653 0.1438
O2 O 0.2021 0.7917 0.3790
O3 O 0.2031 0.9857 0.1684
O4 O 0.2457 0.7948 0.8873
O5 O 0.2587 0.9033 0.6450
O6 O 0.2669 0.2390 0.4785
O7 O 0.2916 0.2285 0.9821
O8 O 0.3483 0.5150 0.6798
O9 O 0.6517 0.4850 0.3202
O10 O 0.7084 0.7715 0.0179
O11 O 0.7331 0.7610 0.5215
O12 O 0.7413 0.0967 0.3550
O13 O 0.7543 0.2052 0.1127
O14 O 0.7969 0.0143 0.8316
O15 O 0.7979 0.2083 0.6210
O16 O 0.8482 0.4347 0.8562
```

=====

[7]
For ThB2Pd2C, a GGA-PBE-relaxed structure gives the computed powder diffraction line list in this record (Cu Kα (λ = 1.5418 Å)).
No peak broadening, texture or thermal motion is included.

Principal peaks in the range 2θ from 10° to 80°, sorted by position:
Position (°2θ)	I/Imax
24.5	56
33.2	31
34.1	32
36.9	100
47.1	27
53.8	15
58.9	25
61.8	23

Atomic structure:
```
data_ThB2Pd2C
_chemical_formula_sum 'Th2 B4 Pd4 C2'
_space_group_name_H-M_alt 'P 1'
_space_group_IT_number 1
_space_group_name_Hall 'P 1'
_cell_length_a 3.8568
_cell_length_b 3.8568
_cell_length_c 10.7785
_cell_angle_alpha 90.00
_cell_angle_beta 90.00
_cell_angle_gamma 90.00
loop_
_atom_site_label
_atom_site_type_symbol
_atom_site_fract_x
_atom_site_fract_y
_atom_site_fract_z
Th1 Th 0.0000 0.0000 0.0000
Th2 Th 0.5000 0.5000 0.5000
B1 B 0.0000 0.0000 0.3621
B2 B 0.0000 0.0000 0.6379
B3 B 0.5000 0.5000 0.1379
B4 B 0.5000 0.5000 0.8621
Pd1 Pd 0.0000 0.5000 0.2500
Pd2 Pd 0.0000 0.5000 0.7500
Pd3 Pd 0.5000 0.0000 0.2500
Pd4 Pd 0.5000 0.0000 0.7500
C1 C 0.0000 0.0000 0.5000
C2 C 0.5000 0.5000 0.0000
```